(1)
Structure and theoretical X-ray diffraction stick pattern of CeZrHgBi (the GGA-PBE geometry in Alexandria; Cu Ka).
Neutral-atom scattering factors, no anomalous dispersion.

Structural model:
a b c (Å): 7.476 7.476 7.476
angles (deg): 90.00 90.00 90.00
Space group F-43m (No. 216)
One atom of each set of equivalent atoms:
Ce (0.000, 0.000, 0.000)
Zr (0.000, 0.000, 0.500)
Hg (0.250, 0.250, 0.750)
Bi (0.250, 0.250, 0.250)

Largest 10 diffraction maxima, sorted by position, 10° ≤ 2θ ≤ 90°:
2θ/deg, Rel. int., (hkl)
23.80, 9, 2 0 0
33.91, 100, 2 2 0
41.86, 3, 2 2 2
48.72, 18, 4 0 0
54.92, 4, 4 2 0
60.68, 38, 4 2 2
71.37, 12, 4 4 0
76.44, 2, 6 0 0
81.41, 17, 6 2 0
86.31, 1, 6 2 2

=====

(2)
Structure and theoretical X-ray diffraction stick pattern of CeHoBi6 (the GGA-PBE geometry in Alexandria; Cu Ka).
Neutral-atom scattering factors, no anomalous dispersion.

Structural model:
a b c (Å): 4.609 4.667 23.486
angles (deg): 90.00 90.00 90.00
Space group Amm2 (No. 38)
One atom of each set of equivalent atoms:
Ce (0.000, 0.000, 0.000)
Ho (0.500, 0.000, 0.649)
Bi (0.000, 0.000, 0.138)
Bi (0.000, 0.000, 0.392)
Bi (0.000, 0.000, 0.751)
Bi (0.500, 0.000, 0.273)
Bi (0.500, 0.000, 0.515)
Bi (0.500, 0.000, 0.889)

Largest 10 diffraction maxima, sorted by position, 10° ≤ 2θ ≤ 90°:
2θ/deg, Rel. int., (hkl)
29.53, 100, 1 1 3
30.45, 49, 0 0 8
33.32, 88, 1 1 5
38.58, 31, 0 2 0
39.09, 30, 2 0 0
49.93, 25, 0 2 8
50.34, 25, 2 0 8
56.09, 21, 2 2 0
58.31, 16, 1 1 13
65.17, 23, 2 2 8

=====

(3)
Structure and theoretical X-ray diffraction stick pattern of Ce2HoBi2 (the GGA-PBE geometry in Alexandria; Cu Ka).
Neutral-atom scattering factors, no anomalous dispersion.

Structural model:
a b c (Å): 6.014 6.015 8.690
angles (deg): 90.00 110.12 90.00
Space group C2/m (No. 12)
One atom of each set of equivalent atoms:
Ce (0.000, 0.249, 0.000)
Ho (0.000, 0.500, 0.500)
Bi (0.100, 0.000, 0.696)

Largest 10 diffraction maxima, sorted by position, 10° ≤ 2θ ≤ 90°:
2θ/deg, Rel. int., (hkl)
21.59, 23, 1 1 -1
26.60, 35, 1 1 1
31.71, 100, 2 0 -2
34.64, 78, 1 1 -3
37.14, 38, 2 0 1
42.51, 49, 2 2 -1
55.94, 31, 1 3 2
61.69, 17, 0 4 0
65.00, 21, 2 0 4
71.04, 20, 4 2 -3

=====

(4)
Structure and theoretical X-ray diffraction stick pattern of Ce4HoBi6 (the GGA-PBE geometry in Alexandria; Cu Ka).
Neutral-atom scattering factors, no anomalous dispersion.

Structural model:
a b c (Å): 12.5359 12.5359 15.8951
angles (deg): 90.00 90.00 120.00
Space group R-3c (No. 167, hexagonal axes)
One atom of each set of equivalent atoms:
Ce (0.0000, 0.0000, 0.2500)
Ce (0.0000, 0.3890, 0.2500)
Ho (0.0000, 0.0000, 0.0000)
Bi (0.0343, 0.2132, 0.3867)

Largest 10 diffraction maxima, sorted by position, 10° ≤ 2θ ≤ 90°:
2θ/deg, Rel. int., (hkl)
22.38, 26, 2 1 1
27.82, 38, 0 2 4
30.21, 95, 1 3 1
31.34, 100, 2 1 4
31.78, 24, 3 1 2
33.21, 98, 2 2 3
35.73, 29, 1 2 5
37.98, 44, 4 1 0
60.85, 47, 5 3 2
64.50, 28, 3 5 4

=====

(5)
Structure and theoretical X-ray diffraction stick pattern of Ce2HoBi3 (the GGA-PBE geometry in Alexandria; Cu Ka).
Neutral-atom scattering factors, no anomalous dispersion.

Structural model:
a b c (Å): 9.101 12.885 27.351
angles (deg): 90.00 90.00 90.00
Space group Fddd (No. 70, origin choice 2)
One atom of each set of equivalent atoms:
Ce (0.125, 0.125, 0.043)
Ce (0.125, 0.125, 0.374)
Ho (0.125, 0.125, 0.541)
Bi (0.118, 0.375, 0.875)
Bi (0.122, 0.372, 0.709)

Largest 10 diffraction maxima, sorted by position, 10° ≤ 2θ ≤ 90°:
2θ/deg, Rel. int., (hkl)
23.93, 5, 0 2 6
27.70, 100, 2 0 6
39.57, 78, 2 4 6
46.77, 3, 2 2 12
48.99, 28, 0 4 12
57.20, 13, 0 8 0
64.71, 31, 2 8 6
64.78, 6, 6 0 6
71.79, 28, 2 4 18
85.20, 8, 0 0 24

=====

(6)
Structure and theoretical X-ray diffraction stick pattern of Ce2HoBi3 (the GGA-PBE geometry in Alexandria; Cu Ka).
Neutral-atom scattering factors, no anomalous dispersion.

Structural model:
a b c (Å): 4.557 6.451 13.655
angles (deg): 90.00 90.00 90.00
Space group Immm (No. 71)
One atom of each set of equivalent atoms:
Ce (0.000, 0.000, 0.168)
Ho (0.000, 0.000, 0.500)
Bi (0.000, 0.500, 0.163)
Bi (0.000, 0.500, 0.500)

Largest 10 diffraction maxima, sorted by position, 10° ≤ 2θ ≤ 90°:
2θ/deg, Rel. int., (hkl)
23.92, 5, 1 1 0
27.69, 100, 0 2 0
39.56, 78, 2 0 0
48.97, 29, 2 2 0
57.18, 14, 0 4 0
64.68, 31, 3 0 3
64.76, 6, 1 0 9
71.73, 19, 2 4 0
71.81, 9, 1 2 9
85.16, 8, 4 0 0

=====

(7)
Structure and theoretical X-ray diffraction stick pattern of Ce2PmHoBi5 (the GGA-PBE geometry in Alexandria; Cu Ka).
Neutral-atom scattering factors, no anomalous dispersion.

Structural model:
a b c (Å): 5.434 5.434 11.979
angles (deg): 90.00 90.00 90.00
Space group P4/mmm (No. 123)
One atom of each set of equivalent atoms:
Ce (0.000, 0.000, 0.218)
Pm (0.500, 0.500, 0.500)
Ho (0.500, 0.500, 0.000)
Bi (0.000, 0.000, 0.500)
Bi (0.000, 0.500, 0.000)
Bi (0.500, 0.500, 0.250)

Largest 10 diffraction maxima, sorted by position, 10° ≤ 2θ ≤ 90°:
2θ/deg, Rel. int., (hkl)
23.15, 59, 1 1 0
24.33, 49, 1 1 1
27.58, 38, 1 1 2
29.83, 58, 0 0 4
32.33, 46, 1 1 3
32.97, 100, 2 0 0
38.10, 26, 1 1 4
45.05, 77, 2 0 4
47.32, 37, 2 2 0
56.95, 39, 2 2 4

=====

(8)
Structure and theoretical X-ray diffraction stick pattern of CeHoSc2Bi4 (the GGA-PBE geometry in Alexandria; Cu Ka).
Neutral-atom scattering factors, no anomalous dispersion.

Structural model:
a b c (Å): 7.603 4.409 7.629
angles (deg): 90.00 109.50 90.00
Space group P2/m (No. 10)
One atom of each set of equivalent atoms:
Ce (0.000, 0.000, 0.000)
Ho (0.000, 0.500, 0.500)
Sc (0.500, 0.000, 0.500)
Sc (0.500, 0.500, 0.000)
Bi (0.266, 0.000, 0.752)
Bi (0.269, 0.500, 0.260)

Largest 10 diffraction maxima, sorted by position, 10° ≤ 2θ ≤ 90°:
2θ/deg, Rel. int., (hkl)
24.78, 23, 1 1 -1
28.69, 100, 1 1 1
40.96, 39, 0 2 0
41.08, 37, 3 1 -1
48.48, 9, 0 2 2
50.77, 21, 2 2 -2
59.40, 13, 4 0 -4
67.20, 18, 1 3 1
67.36, 16, 5 1 -3
74.62, 11, 1 3 -3

=====

(9)
Structure and theoretical X-ray diffraction stick pattern of Ce7InBi3 (the GGA-PBE geometry in Alexandria; Cu Ka).
Neutral-atom scattering factors, no anomalous dispersion.

Structural model:
a b c (Å): 6.159 9.235 12.342
angles (deg): 90.00 90.00 90.00
Space group Immm (No. 71)
One atom of each set of equivalent atoms:
Ce (0.000, 0.000, 0.000)
Ce (0.000, 0.148, 0.500)
Ce (0.000, 0.358, 0.246)
In (0.000, 0.500, 0.500)
Bi (0.000, 0.000, 0.259)
Bi (0.000, 0.500, 0.000)

Largest 10 diffraction maxima, sorted by position, 10° ≤ 2θ ≤ 90°:
2θ/deg, Rel. int., (hkl)
19.22, 21, 0 2 0
28.97, 100, 2 0 0
32.54, 14, 1 3 0
35.00, 19, 2 2 0
35.71, 73, 1 3 2
41.43, 38, 2 0 4
55.82, 40, 3 3 2
60.10, 11, 4 0 0
68.01, 17, 4 0 4
68.09, 12, 2 6 0

=====

(10)
Structure and theoretical X-ray diffraction stick pattern of Ce10In6Bi (the GGA-PBE geometry in Alexandria; Cu Ka).
Neutral-atom scattering factors, no anomalous dispersion.

Structural model:
a b c (Å): 9.6615 9.6615 6.3670
angles (deg): 90.00 90.00 120.00
Space group P-31m (No. 162)
One atom of each set of equivalent atoms:
Ce (0.0000, 0.2761, 0.2696)
Ce (0.3333, 0.6667, 0.0000)
Ce (0.3333, 0.6667, 0.5000)
In (0.0000, 0.3847, 0.7631)
Bi (0.0000, 0.0000, 0.0000)

Largest 10 diffraction maxima, sorted by position, 10° ≤ 2θ ≤ 90°:
2θ/deg, Rel. int., (hkl)
31.59, 61, 3 -1 1
32.09, 89, 3 0 0
33.72, 100, 1 1 2
41.41, 17, 3 1 1
47.24, 28, 4 -2 2
49.60, 14, 3 2 1
51.88, 13, 2 1 3
58.25, 19, 4 1 2
60.31, 12, 6 -2 1
67.78, 19, 3 0 4

=====

(11)
Structure and theoretical X-ray diffraction stick pattern of Ce7In3Bi (the GGA-PBE geometry in Alexandria; Cu Ka).
Neutral-atom scattering factors, no anomalous dispersion.

Structural model:
a b c (Å): 6.106 9.320 12.074
angles (deg): 90.00 90.00 90.00
Space group Immm (No. 71)
One atom of each set of equivalent atoms:
Ce (0.000, 0.000, 0.000)
Ce (0.000, 0.149, 0.500)
Ce (0.000, 0.351, 0.242)
In (0.000, 0.000, 0.261)
In (0.000, 0.500, 0.000)
Bi (0.000, 0.500, 0.500)

Largest 10 diffraction maxima, sorted by position, 10° ≤ 2θ ≤ 90°:
2θ/deg, Rel. int., (hkl)
19.04, 17, 0 2 0
29.25, 69, 2 0 0
29.61, 79, 0 0 4
35.67, 100, 1 3 2
42.11, 63, 2 0 4
56.13, 27, 3 3 2
56.53, 25, 1 3 6
68.94, 16, 4 0 4
69.49, 15, 2 0 8
75.56, 14, 2 6 4

=====

(12)
Structure and theoretical X-ray diffraction stick pattern of CeTlInBi (the GGA-PBE geometry in Alexandria; Cu Ka).
Neutral-atom scattering factors, no anomalous dispersion.

Structural model:
a b c (Å): 4.679 4.773 5.078
angles (deg): 90.00 90.00 90.00
Space group Pmmm (No. 47)
One atom of each set of equivalent atoms:
Ce (0.000, 0.000, 0.000)
Tl (0.500, 0.000, 0.500)
In (0.000, 0.500, 0.500)
Bi (0.500, 0.500, 0.000)

Largest 10 diffraction maxima, sorted by position, 10° ≤ 2θ ≤ 90°:
2θ/deg, Rel. int., (hkl)
32.07, 100, 1 1 1
35.35, 19, 0 0 2
37.70, 16, 0 2 0
38.48, 15, 2 0 0
52.64, 13, 0 2 2
53.24, 12, 2 0 2
61.41, 16, 1 1 3
64.54, 14, 1 3 1
65.60, 13, 3 1 1
67.06, 12, 2 2 2

=====

(13)
Structure and theoretical X-ray diffraction stick pattern of Ce4BiIr2 (the GGA-PBE geometry in Alexandria; Cu Ka).
Neutral-atom scattering factors, no anomalous dispersion.

Structural model:
a b c (Å): 13.067 13.093 8.608
angles (deg): 90.00 90.00 90.00
Space group Fdd2 (No. 43)
One atom of each set of equivalent atoms:
Ce (0.050, 0.125, 0.000)
Ce (0.125, 0.200, 0.584)
Bi (0.000, 0.000, 0.667)
Ir (0.062, 0.188, 0.292)

Largest 10 diffraction maxima, sorted by position, 10° ≤ 2θ ≤ 90°:
2θ/deg, Rel. int., (hkl)
23.87, 35, 3 1 1
30.57, 92, 4 2 0
30.81, 100, 3 3 1
32.68, 81, 1 1 3
36.55, 74, 1 5 1
37.17, 55, 4 2 2
38.17, 25, 3 1 3
47.55, 31, 1 5 3
52.82, 30, 4 2 4
61.98, 24, 5 7 1

=====

(14)
Structure and theoretical X-ray diffraction stick pattern of CeBiIr (the GGA-PBE geometry in Alexandria; Cu Ka).
Neutral-atom scattering factors, no anomalous dispersion.

Structural model:
a b c (Å): 12.600 4.373 5.661
angles (deg): 90.00 102.81 90.00
Space group C2/m (No. 12)
One atom of each set of equivalent atoms:
Ce (0.144, 0.000, 0.308)
Bi (0.083, 0.500, 0.785)
Ir (0.227, 0.000, 0.815)

Largest 10 diffraction maxima, sorted by position, 10° ≤ 2θ ≤ 90°:
2θ/deg, Rel. int., (hkl)
14.42, 22, 2 0 0
19.08, 17, 2 0 -1
29.89, 28, 3 1 0
31.65, 100, 3 1 -1
32.44, 52, 0 0 2
36.43, 70, 3 1 1
40.72, 46, 3 1 -2
41.29, 39, 0 2 0
42.18, 21, 5 1 0
53.46, 26, 0 2 2